Diffraction record for LiZr2Se2O2. The powder XRD pattern is theoretical, not measured: it uses a GGA-PBE-relaxed structure and Cu Kα, 1.54184 Å.
No peak broadening, texture or thermal motion is included.

Principal peaks in the range 10 to 80 degrees two-theta, in order of rising 2θ:
| h k l | 2θ/deg | d_spacing | I_rel |
| --- | --- | --- | --- |
| 0 1 1 | 23.46 | 3.792 | 53.8 |
| 1 0 1 | 27.70 | 3.220 | 41.3 |
| 0 0 3 | 28.82 | 3.098 | 61.1 |
| 1 1 0 | 33.88 | 2.646 | 100.0 |
| 1 1 1 | 35.27 | 2.545 | 49.9 |
| 0 1 3 | 36.16 | 2.484 | 45.2 |
| 1 0 3 | 39.16 | 2.300 | 51.1 |
| 0 2 0 | 43.59 | 2.077 | 37.8 |
| 1 1 3 | 45.05 | 2.012 | 43.1 |
| 1 1 4 | 52.40 | 1.746 | 65.5 |

Structural model:
```
data_LiZr2Se2O2
_chemical_formula_sum 'Li1 Zr2 Se2 O2'
_symmetry_space_group_name_H-M 'P m m 2'
_symmetry_Int_Tables_number 25
_cell_length_a 3.432
_cell_length_b 4.153
_cell_length_c 9.297
_cell_angle_alpha 90.00
_cell_angle_beta 90.00
_cell_angle_gamma 90.00
loop_
_symmetry_equiv_pos_as_xyz
'x,y,z'
'-x,-y,z'
'-x,y,z'
'x,-y,z'
loop_
_atom_site_label
_atom_site_fract_x
_atom_site_fract_y
_atom_site_fract_z
_atom_site_occupancy
Li1 0.000 0.000 0.000 1
Zr1 0.000 0.500 0.573 1
Zr2 0.500 0.000 0.327 1
Se1 0.000 0.500 0.866 1
Se2 0.500 0.000 0.629 1
O1 0.000 0.000 0.210 1
O2 0.500 0.500 0.389 1
```

Diffraction record for LiZr2Se2O2. The powder XRD pattern is theoretical, not measured: it uses a GGA-PBE-relaxed structure and Cu Kα, 1.54184 Å.
No peak broadening, texture or thermal motion is included.

Principal peaks in the range 10 to 80 degrees two-theta, in order of rising 2θ:
| h k l | 2θ/deg | d_spacing | I_rel |
| --- | --- | --- | --- |
| 0 0 1 | 10.05 | 8.804 | 14.6 |
| 0 0 2 | 20.17 | 4.402 | 26.0 |
| 1 0 2 | 32.04 | 2.793 | 100.0 |
| 1 1 0 | 35.12 | 2.555 | 50.9 |
| 1 1 2 | 40.83 | 2.210 | 32.4 |
| 1 0 4 | 48.42 | 1.880 | 39.2 |
| 2 0 0 | 50.51 | 1.807 | 25.3 |
| 2 1 2 | 61.08 | 1.517 | 30.0 |
| 2 1 4 | 72.57 | 1.303 | 22.8 |
| 1 1 6 | 74.58 | 1.272 | 8.6 |

Structural model:
```
data_LiZr2Se2O2
_chemical_formula_sum 'Li1 Zr2 Se2 O2'
_symmetry_space_group_name_H-M 'P 4 m m'
_symmetry_Int_Tables_number 99
_cell_length_a 3.614
_cell_length_b 3.614
_cell_length_c 8.804
_cell_angle_alpha 90.00
_cell_angle_beta 90.00
_cell_angle_gamma 90.00
loop_
_symmetry_equiv_pos_as_xyz
'x,y,z'
'-y,x,z'
'-x,-y,z'
'y,-x,z'
'-x,y,z'
'y,x,z'
'x,-y,z'
'-y,-x,z'
loop_
_atom_site_label
_atom_site_fract_x
_atom_site_fract_y
_atom_site_fract_z
_atom_site_occupancy
Li1 0.000 0.000 0.000 1
Zr1 0.000 0.000 0.268 1
Zr2 0.500 0.500 0.921 1
Se1 0.000 0.000 0.743 1
Se2 0.500 0.500 0.399 1
O1 0.000 0.500 0.063 1
```

Diffraction record for LiSi6O12. The powder XRD pattern is theoretical, not measured: it uses a GGA-PBE-relaxed structure and Cu Kα, 1.54184 Å.
No peak broadening, texture or thermal motion is included.

Principal peaks in the range 10 to 80 degrees two-theta, in order of rising 2θ:
| h k l | 2θ/deg | d_spacing | I_rel |
| --- | --- | --- | --- |
| 1 1 0 | 18.52 | 4.790 | 43.1 |
| 2 0 -2 | 19.63 | 4.522 | 12.0 |
| 1 1 1 | 25.24 | 3.528 | 100.0 |
| 4 0 -2 | 25.45 | 3.500 | 81.5 |
| 1 1 -2 | 27.12 | 3.288 | 11.0 |
| 2 2 -1 | 36.16 | 2.484 | 5.7 |
| 4 2 0 | 47.45 | 1.916 | 12.5 |
| 1 1 3 | 47.73 | 1.905 | 11.4 |
| 7 1 -3 | 47.88 | 1.900 | 10.9 |
| 8 2 -2 | 64.99 | 1.435 | 6.3 |

Structural model:
```
data_LiSi6O12
_chemical_formula_sum 'Li2 Si12 O24'
_symmetry_space_group_name_H-M 'C 1 2 1'
_symmetry_Int_Tables_number 5
_cell_length_a 14.263
_cell_length_b 5.315
_cell_length_c 9.044
_cell_angle_alpha 90.00
_cell_angle_beta 129.16
_cell_angle_gamma 90.00
loop_
_symmetry_equiv_pos_as_xyz
'x,y,z'
'-x,y,-z'
'x+1/2,y+1/2,z'
'-x+1/2,y+1/2,-z'
loop_
_atom_site_label
_atom_site_fract_x
_atom_site_fract_y
_atom_site_fract_z
_atom_site_occupancy
Li1 0.000 0.000 0.000 1
Si1 0.000 0.492 0.500 1
Si2 0.000 0.500 0.000 1
Si3 0.169 0.286 0.419 1
Si4 0.169 0.705 0.915 1
O1 0.078 0.702 0.974 1
O2 0.081 0.309 0.475 1
O3 0.084 0.298 0.180 1
O4 0.087 0.673 0.686 1
O5 0.229 0.007 0.481 1
O6 0.230 0.984 0.971 1
```

Diffraction record for Li4Si2O7. The powder XRD pattern is theoretical, not measured: it uses a GGA-PBE-relaxed structure and Cu Kα, 1.54184 Å.
No peak broadening, texture or thermal motion is included.

Principal peaks in the range 10 to 80 degrees two-theta, in order of rising 2θ:
| h k l | 2θ/deg | d_spacing | I_rel |
| --- | --- | --- | --- |
| 1 0 1 | 20.00 | 4.440 | 60.4 |
| 1 1 1 | 23.06 | 3.857 | 43.3 |
| 2 1 0 | 25.58 | 3.483 | 100.0 |
| 2 1 1 | 30.54 | 2.928 | 17.0 |
| 0 0 2 | 33.16 | 2.702 | 21.9 |
| 3 1 1 | 40.24 | 2.241 | 18.1 |
| 2 1 2 | 42.34 | 2.135 | 9.8 |
| 4 0 0 | 46.65 | 1.947 | 8.1 |
| 3 3 0 | 49.66 | 1.836 | 10.5 |
| 5 2 0 | 64.42 | 1.446 | 12.8 |

Structural model:
```
data_Li4Si2O7
_chemical_formula_sum 'Li8 Si4 O14'
_symmetry_space_group_name_H-M 'P -4 21 m'
_symmetry_Int_Tables_number 113
_cell_length_a 7.788
_cell_length_b 7.788
_cell_length_c 5.403
_cell_angle_alpha 90.00
_cell_angle_beta 90.00
_cell_angle_gamma 90.00
loop_
_symmetry_equiv_pos_as_xyz
'x,y,z'
'y,-x,-z'
'-x,-y,z'
'-y,x,-z'
'x+1/2,-y+1/2,-z'
'y+1/2,x+1/2,z'
'-x+1/2,y+1/2,-z'
'-y+1/2,-x+1/2,z'
loop_
_atom_site_label
_atom_site_fract_x
_atom_site_fract_y
_atom_site_fract_z
_atom_site_occupancy
Li1 0.068 0.156 0.316 1
Si1 0.147 0.353 0.816 1
O1 0.000 0.500 0.757 1
O2 0.082 0.174 0.690 1
O3 0.167 0.333 0.115 1
```

Diffraction record for LiSiO3. The powder XRD pattern is theoretical, not measured: it uses a GGA-PBE-relaxed structure and Cu Kα, 1.54184 Å.
No peak broadening, texture or thermal motion is included.

Principal peaks in the range 10 to 80 degrees two-theta, in order of rising 2θ:
| h k l | 2θ/deg | d_spacing | I_rel |
| --- | --- | --- | --- |
| 1 0 0 | 25.39 | 3.509 | 100.0 |
| 1 1 0 | 36.21 | 2.481 | 12.8 |
| 1 1 1 | 44.74 | 2.026 | 8.5 |
| 2 0 0 | 52.14 | 1.754 | 44.0 |
| 2 1 0 | 58.85 | 1.569 | 27.5 |
| 2 1 1 | 65.12 | 1.432 | 6.5 |
| 2 2 0 | 76.85 | 1.240 | 22.4 |

Structural model:
```
data_LiSiO3
_chemical_formula_sum 'Li1 Si1 O3'
_symmetry_space_group_name_H-M 'P m -3 m'
_symmetry_Int_Tables_number 221
_symmetry_space_group_name_Hall '-P 4 2 3'
_cell_length_a 3.509
_cell_length_b 3.509
_cell_length_c 3.509
_cell_angle_alpha 90.00
_cell_angle_beta 90.00
_cell_angle_gamma 90.00
loop_
_atom_site_label
_atom_site_fract_x
_atom_site_fract_y
_atom_site_fract_z
_atom_site_occupancy
Li1 0.000 0.000 0.000 1
Si1 0.500 0.500 0.500 1
O1 0.000 0.500 0.500 1
```

Diffraction record for LiSi6O12. The powder XRD pattern is theoretical, not measured: it uses a GGA-PBE-relaxed structure and Cu Kα, 1.54184 Å.
No peak broadening, texture or thermal motion is included.

Principal peaks in the range 10 to 80 degrees two-theta, in order of rising 2θ:
| h k l | 2θ/deg | d_spacing | I_rel |
| --- | --- | --- | --- |
| 0 1 -1 | 19.27 | 4.607 | 54.7 |
| 1 1 1 | 19.40 | 4.576 | 21.8 |
| 0 2 0 | 25.05 | 3.554 | 100.0 |
| 1 0 -1 | 25.59 | 3.480 | 67.5 |
| 1 1 2 | 25.80 | 3.453 | 54.5 |
| 1 1 -1 | 27.38 | 3.257 | 12.2 |
| 1 2 0 | 27.48 | 3.246 | 15.0 |
| 1 2 2 | 29.96 | 2.983 | 13.5 |
| 1 1 4 | 47.68 | 1.907 | 13.7 |
| 0 1 5 | 64.31 | 1.448 | 12.8 |

Structural model:
```
data_LiSi6O12
_chemical_formula_sum 'Li1 Si6 O12'
_symmetry_space_group_name_H-M 'P -1'
_symmetry_Int_Tables_number 2
_cell_length_a 5.037
_cell_length_b 7.649
_cell_length_c 7.653
_cell_angle_alpha 74.01
_cell_angle_beta 71.09
_cell_angle_gamma 71.31
loop_
_symmetry_equiv_pos_as_xyz
'x,y,z'
'-x,-y,-z'
loop_
_atom_site_label
_atom_site_fract_x
_atom_site_fract_y
_atom_site_fract_z
_atom_site_occupancy
Li1 0.000 0.000 0.000 1
Si1 0.008 0.744 0.258 1
Si2 0.070 0.183 0.176 1
Si3 0.411 0.340 0.341 1
O1 0.068 0.237 0.946 1
O2 0.090 0.950 0.229 1
O3 0.236 0.704 0.699 1
O4 0.276 0.267 0.565 1
O5 0.285 0.568 0.284 1
O6 0.343 0.227 0.210 1
```

Diffraction record for Li4SiO4. The powder XRD pattern is theoretical, not measured: it uses a GGA-PBE-relaxed structure and Cu Kα, 1.54184 Å.
No peak broadening, texture or thermal motion is included.

Principal peaks in the range 10 to 80 degrees two-theta, in order of rising 2θ:
| h k l | 2θ/deg | d_spacing | I_rel |
| --- | --- | --- | --- |
| 0 1 -3 | 21.32 | 4.168 | 69.1 |
| 0 1 3 | 22.12 | 4.019 | 67.1 |
| 1 0 3 | 22.29 | 3.988 | 100.0 |
| 1 -1 0 | 23.21 | 3.832 | 54.1 |
| 1 1 -3 | 27.29 | 3.268 | 51.1 |
| 1 1 3 | 27.99 | 3.188 | 31.4 |
| 0 1 -6 | 33.09 | 2.707 | 27.1 |
| 2 0 0 | 33.95 | 2.641 | 71.5 |
| 0 1 6 | 34.17 | 2.624 | 32.7 |
| 1 -2 0 | 36.59 | 2.456 | 33.7 |

Structural model:
```
data_Li4SiO4
_chemical_formula_sum 'Li24 Si6 O24'
_symmetry_space_group_name_H-M 'P 1'
_symmetry_Int_Tables_number 1
_cell_length_a 5.282
_cell_length_b 5.533
_cell_length_c 18.260
_cell_angle_alpha 92.10
_cell_angle_beta 90.15
_cell_angle_gamma 90.37
loop_
_symmetry_equiv_pos_as_xyz
'x,y,z'
loop_
_atom_site_label
_atom_site_fract_x
_atom_site_fract_y
_atom_site_fract_z
_atom_site_occupancy
Li1 0.000 0.000 0.000 1
Li2 0.002 0.015 0.478 1
Li3 0.105 0.015 0.663 1
Li4 0.128 0.005 0.810 1
Li5 0.132 0.015 0.157 1
Li6 0.138 0.031 0.332 1
Li7 0.167 0.403 0.917 1
Li8 0.178 0.439 0.583 1
Li9 0.312 0.711 0.243 1
Li10 0.370 0.799 0.552 1
Li11 0.372 0.757 0.892 1
Li12 0.414 0.394 0.338 1
Li13 0.429 0.339 0.140 1
Li14 0.435 0.373 0.805 1
Li15 0.463 0.744 0.038 1
Li16 0.478 0.312 0.683 1
Li17 0.483 0.258 0.018 1
Li18 0.492 0.315 0.459 1
Li19 0.532 0.834 0.399 1
Li20 0.536 0.815 0.728 1
Li21 0.714 0.690 0.167 1
Li22 0.811 0.677 0.588 1
Li23 0.830 0.667 0.911 1
Li24 0.864 0.532 0.293 1
Si1 0.001 0.518 0.745 1
Si2 0.016 0.530 0.421 1
Si3 0.649 0.139 0.242 1
Si4 0.664 0.129 0.897 1
Si5 0.678 0.147 0.571 1
Si6 0.999 0.508 0.072 1
O1 0.076 0.668 0.501 1
O2 0.085 0.660 0.147 1
O3 0.093 0.674 0.674 1
O4 0.094 0.652 0.997 1
O5 0.101 0.638 0.826 1
O6 0.148 0.244 0.069 1
O7 0.152 0.263 0.418 1
O8 0.152 0.673 0.351 1
O9 0.154 0.258 0.738 1
O10 0.510 0.036 0.314 1
O11 0.526 0.005 0.824 1
O12 0.527 0.995 0.168 1
O13 0.541 0.403 0.911 1
O14 0.546 0.418 0.574 1
O15 0.554 0.986 0.636 1
O16 0.566 0.436 0.236 1
O17 0.588 0.957 0.967 1
O18 0.606 0.004 0.493 1
O19 0.687 0.488 0.074 1
O20 0.692 0.502 0.745 1
O21 0.713 0.519 0.399 1
O22 0.957 0.129 0.246 1
O23 0.972 0.129 0.899 1
O24 0.985 0.157 0.578 1
```

Diffraction record for Li2Si2O5. The powder XRD pattern is theoretical, not measured: it uses a GGA-PBE-relaxed structure and Cu Kα, 1.54184 Å.
No peak broadening, texture or thermal motion is included.

Principal peaks in the range 10 to 80 degrees two-theta, in order of rising 2θ:
| h k l | 2θ/deg | d_spacing | I_rel |
| --- | --- | --- | --- |
| 1 1 0 | 16.20 | 5.471 | 14.0 |
| 1 3 0 | 23.53 | 3.781 | 69.0 |
| 0 4 0 | 24.05 | 3.700 | 42.6 |
| 1 1 1 | 24.55 | 3.626 | 100.0 |
| 2 0 0 | 30.36 | 2.944 | 9.7 |
| 0 0 2 | 37.13 | 2.421 | 27.0 |
| 2 2 1 | 37.77 | 2.382 | 19.2 |
| 1 5 1 | 38.80 | 2.321 | 10.8 |
| 1 7 0 | 45.59 | 1.990 | 15.9 |
| 2 2 3 | 67.36 | 1.390 | 12.2 |

Structural model:
```
data_Li2Si2O5
_chemical_formula_sum 'Li8 Si8 O20'
_symmetry_space_group_name_H-M 'C c c 2'
_symmetry_Int_Tables_number 37
_cell_length_a 5.888
_cell_length_b 14.799
_cell_length_c 4.843
_cell_angle_alpha 90.00
_cell_angle_beta 90.00
_cell_angle_gamma 90.00
loop_
_symmetry_equiv_pos_as_xyz
'x,y,z'
'-x,-y,z'
'-x,y,z+1/2'
'x,-y,z+1/2'
'x+1/2,y+1/2,z'
'-x+1/2,-y+1/2,z'
'-x+1/2,y+1/2,z+1/2'
'x+1/2,-y+1/2,z+1/2'
loop_
_atom_site_label
_atom_site_fract_x
_atom_site_fract_y
_atom_site_fract_z
_atom_site_occupancy
Li1 0.153 0.058 0.000 1
Si1 0.156 0.352 0.503 1
O1 0.092 0.362 0.169 1
O2 0.169 0.072 0.596 1
O3 0.250 0.250 0.559 1
```

Diffraction record for LiSi6O12. The powder XRD pattern is theoretical, not measured: it uses a GGA-PBE-relaxed structure and Cu Kα, 1.54184 Å.
No peak broadening, texture or thermal motion is included.

Principal peaks in the range 10 to 80 degrees two-theta, in order of rising 2θ:
| h k l | 2θ/deg | d_spacing | I_rel |
| --- | --- | --- | --- |
| 1 0 0 | 18.50 | 4.796 | 56.4 |
| 1 1 1 | 18.83 | 4.712 | 28.7 |
| 0 1 -1 | 19.91 | 4.460 | 20.6 |
| 1 0 -1 | 25.12 | 3.546 | 75.7 |
| 0 0 2 | 25.43 | 3.503 | 96.5 |
| 0 2 0 | 25.80 | 3.453 | 100.0 |
| 1 0 2 | 27.31 | 3.266 | 12.9 |
| 1 -2 0 | 35.69 | 2.516 | 8.6 |
| 1 0 -3 | 47.54 | 1.913 | 9.1 |
| 2 3 3 | 48.20 | 1.888 | 11.0 |

Structural model:
```
data_LiSi6O12
_chemical_formula_sum 'Li1 Si6 O12'
_symmetry_space_group_name_H-M 'P 1'
_symmetry_Int_Tables_number 1
_cell_length_a 5.261
_cell_length_b 7.485
_cell_length_c 7.618
_cell_angle_alpha 72.42
_cell_angle_beta 70.44
_cell_angle_gamma 70.83
loop_
_symmetry_equiv_pos_as_xyz
'x,y,z'
loop_
_atom_site_label
_atom_site_fract_x
_atom_site_fract_y
_atom_site_fract_z
_atom_site_occupancy
Li1 0.000 0.000 0.000 1
Si1 0.052 0.409 0.021 1
Si2 0.391 0.587 0.178 1
Si3 0.406 0.529 0.599 1
Si4 0.412 0.963 0.546 1
Si5 0.426 0.996 0.131 1
Si6 0.766 0.127 0.699 1
O1 0.101 0.044 0.685 1
O2 0.128 0.171 0.082 1
O3 0.158 0.479 0.788 1
O4 0.195 0.498 0.122 1
O5 0.304 0.823 0.094 1
O6 0.313 0.544 0.411 1
O7 0.404 0.070 0.328 1
O8 0.474 0.728 0.591 1
O9 0.647 0.094 0.932 1
O10 0.649 0.010 0.608 1
O11 0.694 0.356 0.602 1
O12 0.715 0.489 0.085 1
```